This entry pairs a crystal structure of Ge2SbPb2 with its calculated powder diffractogram. Radiation: CuKα. Structure: a GGA-PBE-relaxed structure.
Neutral-atom scattering factors, no anomalous dispersion.

```
data_Ge2SbPb2
_cell_length_a 3.8175
_cell_length_b 3.8175
_cell_length_c 18.7024
_cell_angle_alpha 90.00
_cell_angle_beta 90.00
_cell_angle_gamma 90.00
_space_group_name_H-M_alt 'I 4/m m m'
_space_group_IT_number 139
_space_group_name_Hall '-I 4 2'
loop_
_atom_site_label
_atom_site_fract_x
_atom_site_fract_y
_atom_site_fract_z
Ge1 0.0000 0.5000 0.2500
Sb1 0.0000 0.0000 0.0000
Pb1 0.0000 0.0000 0.3918
```

Principal peaks in the range 2θ from 5° to 70°, in order of rising 2θ:
| two_theta | d_spacing | intensity | hkl |
| --- | --- | --- | --- |
| 23.79 | 3.740 | 334 | 1 0 1 |
| 27.40 | 3.256 | 590 | 1 0 3 |
| 33.19 | 2.699 | 277 | 1 1 0 |
| 33.54 | 2.672 | 1000 | 1 0 5 |
| 34.59 | 2.594 | 441 | 1 1 2 |
| 38.51 | 2.338 | 614 | 0 0 8 |
| 47.64 | 1.909 | 328 | 2 0 0 |
| 59.52 | 1.553 | 394 | 2 1 5 |
| 60.19 | 1.537 | 277 | 1 1 10 |
| 62.85 | 1.479 | 182 | 2 0 8 |